Theoretical powder XRD pattern
Compound: LiLaPrZn
Radiation: copper Kα
Structure: a DFT-relaxed cell (PBE, Alexandria)
Peak positions follow from Bragg's law for the DFT cell and can differ from measured ones.

Atomic structure:
Unit cell a=5.3495 b=5.3495 c=5.3495 alpha=60.00 beta=60.00 gamma=60.00
Fractional positions:
Li 0.0000 0.0000 0.0000
La 0.2500 0.2500 0.2500
Pr 0.7500 0.7500 0.7500
Zn 0.5000 0.5000 0.5000

Most intense lines, 2θ = 10–80°, in order of rising 2θ:
- 2θ = 20.33°, intensity 8
- 2θ = 23.52°, intensity 40
- 2θ = 33.50°, intensity 100
- 2θ = 39.51°, intensity 4
- 2θ = 41.34°, intensity 12
- 2θ = 48.11°, intensity 18
- 2θ = 54.22°, intensity 17
- 2θ = 59.90°, intensity 37
- 2θ = 70.40°, intensity 11
- 2θ = 75.38°, intensity 8

***

Theoretical powder XRD pattern
Compound: Li3LaPt3
Radiation: copper Kα
Structure: a DFT-relaxed cell (PBE, Alexandria)
Peak positions follow from Bragg's law for the DFT cell and can differ from measured ones.

Atomic structure:
Unit cell a=6.4564 b=6.4564 c=6.4564 alpha=90.00 beta=90.00 gamma=90.00
Fractional positions:
Li 0.0000 0.2500 0.5000
Li 0.0000 0.7500 0.5000
Li 0.2500 0.5000 0.0000
Li 0.5000 0.0000 0.2500
Li 0.5000 0.0000 0.7500
Li 0.7500 0.5000 0.0000
La 0.0000 0.0000 0.0000
La 0.5000 0.5000 0.5000
Pt 0.0000 0.5000 0.2500
Pt 0.0000 0.5000 0.7500
Pt 0.2500 0.0000 0.5000
Pt 0.5000 0.2500 0.0000
Pt 0.5000 0.7500 0.0000
Pt 0.7500 0.0000 0.5000

Most intense lines, 2θ = 10–80°, in order of rising 2θ:
- 2θ = 27.63°, intensity 27
- 2θ = 30.97°, intensity 100
- 2θ = 34.01°, intensity 63
- 2θ = 48.87°, intensity 14
- 2θ = 51.00°, intensity 25
- 2θ = 53.07°, intensity 36
- 2θ = 57.06°, intensity 17
- 2θ = 64.55°, intensity 10
- 2θ = 66.35°, intensity 23
- 2θ = 68.12°, intensity 8

***

Theoretical powder XRD pattern
Compound: Li2LaPt9
Radiation: copper Kα
Structure: a DFT-relaxed cell (PBE, Alexandria)
Peak positions follow from Bragg's law for the DFT cell and can differ from measured ones.

Atomic structure:
Unit cell a=9.2731 b=9.2731 c=9.2731 alpha=33.63 beta=33.63 gamma=33.63
Fractional positions:
Li 0.1471 0.1471 0.1471
Li 0.8529 0.8529 0.8529
La 0.0000 0.0000 0.0000
Pt 0.0822 0.5882 0.5882
Pt 0.3330 0.3330 0.3330
Pt 0.4118 0.4118 0.9178
Pt 0.4118 0.9178 0.4118
Pt 0.5000 0.5000 0.5000
Pt 0.5882 0.0822 0.5882
Pt 0.5882 0.5882 0.0822
Pt 0.6670 0.6670 0.6670
Pt 0.9178 0.4118 0.4118

Most intense lines, 2θ = 10–80°, in order of rising 2θ:
- 2θ = 10.12°, intensity 19
- 2θ = 19.40°, intensity 64
- 2θ = 23.47°, intensity 17
- 2θ = 38.92°, intensity 20
- 2θ = 39.41°, intensity 100
- 2θ = 41.30°, intensity 42
- 2θ = 42.58°, intensity 58
- 2θ = 45.97°, intensity 33
- 2θ = 63.76°, intensity 23
- 2θ = 70.17°, intensity 23

***

Theoretical powder XRD pattern
Compound: LiLa4Pt2
Radiation: copper Kα
Structure: a DFT-relaxed cell (PBE, Alexandria)
Peak positions follow from Bragg's law for the DFT cell and can differ from measured ones.

Atomic structure:
Unit cell a=9.6962 b=9.6962 c=9.6962 alpha=30.13 beta=30.13 gamma=30.13
Fractional positions:
Li 0.0000 0.0000 0.0000
La 0.2077 0.2077 0.2077
La 0.3838 0.3838 0.3838
La 0.6162 0.6162 0.6162
La 0.7923 0.7923 0.7923
Pt 0.0941 0.0941 0.0941
Pt 0.9059 0.9059 0.9059

Most intense lines, 2θ = 10–80°, in order of rising 2θ:
- 2θ = 19.19°, intensity 33
- 2θ = 24.09°, intensity 50
- 2θ = 30.46°, intensity 57
- 2θ = 35.63°, intensity 100
- 2θ = 38.44°, intensity 52
- 2θ = 40.78°, intensity 29
- 2θ = 53.42°, intensity 20
- 2θ = 60.56°, intensity 18
- 2θ = 64.00°, intensity 18
- 2θ = 65.87°, intensity 21

***

Theoretical powder XRD pattern
Compound: Li4LaPt2
Radiation: copper Kα
Structure: a DFT-relaxed cell (PBE, Alexandria)
Peak positions follow from Bragg's law for the DFT cell and can differ from measured ones.

Atomic structure:
Unit cell a=7.7722 b=7.7722 c=4.1736 alpha=90.00 beta=90.00 gamma=90.00
Fractional positions:
Li 0.0976 0.3487 0.0000
Li 0.1513 0.5976 0.5000
Li 0.3487 0.0976 0.0000
Li 0.4024 0.8487 0.5000
Li 0.5976 0.1513 0.5000
Li 0.6513 0.9024 0.0000
Li 0.8487 0.4024 0.5000
Li 0.9024 0.6513 0.0000
La 0.0000 0.0000 0.5000
La 0.5000 0.5000 0.0000
Pt 0.2060 0.7940 0.0000
Pt 0.2940 0.2940 0.5000
Pt 0.7060 0.7060 0.5000
Pt 0.7940 0.2060 0.0000

Most intense lines, 2θ = 10–80°, in order of rising 2θ:
- 2θ = 16.13°, intensity 34
- 2θ = 22.88°, intensity 22
- 2θ = 25.63°, intensity 34
- 2θ = 26.82°, intensity 100
- 2θ = 32.59°, intensity 44
- 2θ = 33.55°, intensity 51
- 2θ = 41.00°, intensity 47
- 2θ = 42.69°, intensity 33
- 2θ = 48.28°, intensity 20
- 2θ = 68.83°, intensity 25

***

Theoretical powder XRD pattern
Compound: LiLaPt3
Radiation: copper Kα
Structure: a DFT-relaxed cell (PBE, Alexandria)
Peak positions follow from Bragg's law for the DFT cell and can differ from measured ones.

Atomic structure:
Unit cell a=6.5114 b=6.5114 c=6.5114 alpha=129.55 beta=108.95 gamma=92.21
Fractional positions:
Li 0.0000 0.0000 0.0000
Li 0.5000 0.0000 0.5000
La 0.2517 0.5017 0.7500
La 0.7483 0.4983 0.2500
Pt 0.0633 0.8133 0.2500
Pt 0.3067 0.0000 0.8067
Pt 0.3067 0.5000 0.3067
Pt 0.6933 0.0000 0.1933
Pt 0.6933 0.5000 0.6933
Pt 0.9367 0.1867 0.7500

Most intense lines, 2θ = 10–80°, in order of rising 2θ:
- 2θ = 19.66°, intensity 100
- 2θ = 30.83°, intensity 40
- 2θ = 33.88°, intensity 36
- 2θ = 35.87°, intensity 61
- 2θ = 37.00°, intensity 77
- 2θ = 38.06°, intensity 42
- 2θ = 39.94°, intensity 33
- 2θ = 40.31°, intensity 88
- 2θ = 41.65°, intensity 44
- 2θ = 45.23°, intensity 29

***

Theoretical powder XRD pattern
Compound: Li4LaPt2
Radiation: copper Kα
Structure: a DFT-relaxed cell (PBE, Alexandria)
Peak positions follow from Bragg's law for the DFT cell and can differ from measured ones.

Atomic structure:
Unit cell a=8.4733 b=8.4733 c=4.0528 alpha=90.00 beta=90.00 gamma=152.85
Fractional positions:
Li 0.1778 0.8222 0.0000
Li 0.3142 0.6858 0.5000
Li 0.6858 0.3142 0.5000
Li 0.8222 0.1778 0.0000
La 0.5000 0.5000 0.0000
Pt 0.0831 0.9169 0.5000
Pt 0.9169 0.0831 0.5000

Most intense lines, 2θ = 10–80°, in order of rising 2θ:
- 2θ = 10.74°, intensity 100
- 2θ = 21.93°, intensity 12
- 2θ = 23.00°, intensity 14
- 2θ = 30.96°, intensity 19
- 2θ = 31.99°, intensity 69
- 2θ = 35.37°, intensity 27
- 2θ = 39.65°, intensity 25
- 2θ = 44.73°, intensity 24
- 2θ = 58.27°, intensity 13
- 2θ = 62.00°, intensity 13

***

Theoretical powder XRD pattern
Compound: Li6LaPt4
Radiation: copper Kα
Structure: a DFT-relaxed cell (PBE, Alexandria)
Peak positions follow from Bragg's law for the DFT cell and can differ from measured ones.

Atomic structure:
Unit cell a=6.7309 b=6.7309 c=6.7309 alpha=122.07 beta=122.07 gamma=86.44
Fractional positions:
Li 0.0000 0.5000 0.5000
Li 0.0109 0.0109 0.6255
Li 0.3854 0.3854 0.3745
Li 0.5000 0.0000 0.5000
Li 0.6146 0.9891 0.0000
Li 0.9891 0.6146 0.0000
La 0.5000 0.5000 0.0000
Pt 0.1139 0.1139 0.3700
Pt 0.2561 0.8861 0.0000
Pt 0.7439 0.7439 0.6300
Pt 0.8861 0.2561 0.0000

Most intense lines, 2θ = 10–80°, in order of rising 2θ:
- 2θ = 18.09°, intensity 83
- 2θ = 19.26°, intensity 24
- 2θ = 26.54°, intensity 100
- 2θ = 27.36°, intensity 25
- 2θ = 32.03°, intensity 66
- 2θ = 41.50°, intensity 63
- 2θ = 41.72°, intensity 46
- 2θ = 42.62°, intensity 64
- 2θ = 43.38°, intensity 22
- 2θ = 65.59°, intensity 29

***

Theoretical powder XRD pattern
Compound: LiLa2SiPt6
Radiation: copper Kα
Structure: a DFT-relaxed cell (PBE, Alexandria)
Peak positions follow from Bragg's law for the DFT cell and can differ from measured ones.

Atomic structure:
Unit cell a=7.8670 b=7.8670 c=7.8670 alpha=42.71 beta=42.71 gamma=42.71
Fractional positions:
Li 0.0000 0.0000 0.0000
La 0.2902 0.2902 0.2902
La 0.7098 0.7098 0.7098
Si 0.5000 0.5000 0.5000
Pt 0.2245 0.7487 0.7487
Pt 0.2513 0.2513 0.7755
Pt 0.2513 0.7755 0.2513
Pt 0.7487 0.2245 0.7487
Pt 0.7487 0.7487 0.2245
Pt 0.7755 0.2513 0.2513

Most intense lines, 2θ = 10–80°, in order of rising 2θ:
- 2θ = 24.95°, intensity 59
- 2θ = 27.51°, intensity 27
- 2θ = 37.20°, intensity 100
- 2θ = 40.06°, intensity 76
- 2θ = 40.37°, intensity 12
- 2θ = 46.17°, intensity 12
- 2θ = 50.13°, intensity 21
- 2θ = 65.12°, intensity 22
- 2θ = 70.89°, intensity 18
- 2θ = 77.46°, intensity 12

***

Theoretical powder XRD pattern
Compound: LiLa2Zn3Pt4
Radiation: copper Kα
Structure: a DFT-relaxed cell (PBE, Alexandria)
Peak positions follow from Bragg's law for the DFT cell and can differ from measured ones.

Atomic structure:
Unit cell a=4.1802 b=4.1802 c=11.1351 alpha=90.00 beta=90.00 gamma=90.00
Fractional positions:
Li 0.0000 0.0000 0.0000
La 0.0000 0.5000 0.7448
La 0.5000 0.0000 0.2552
Zn 0.0000 0.5000 0.3696
Zn 0.5000 0.0000 0.6304
Zn 0.5000 0.5000 0.0000
Pt 0.0000 0.0000 0.5000
Pt 0.0000 0.5000 0.1428
Pt 0.5000 0.0000 0.8572
Pt 0.5000 0.5000 0.5000

Most intense lines, 2θ = 10–80°, in order of rising 2θ:
- 2θ = 23.98°, intensity 24
- 2θ = 31.31°, intensity 36
- 2θ = 32.25°, intensity 52
- 2θ = 34.35°, intensity 100
- 2θ = 43.29°, intensity 61
- 2θ = 44.72°, intensity 32
- 2θ = 46.19°, intensity 37
- 2θ = 54.99°, intensity 24
- 2θ = 65.15°, intensity 26
- 2θ = 73.66°, intensity 22

***

Theoretical powder XRD pattern
Compound: LiLa2Zn4Pt3
Radiation: copper Kα
Structure: a DFT-relaxed cell (PBE, Alexandria)
Peak positions follow from Bragg's law for the DFT cell and can differ from measured ones.

Atomic structure:
Unit cell a=4.1165 b=4.1165 c=11.6481 alpha=90.00 beta=90.00 gamma=90.00
Fractional positions:
Li 0.0000 0.0000 0.0000
La 0.0000 0.5000 0.7387
La 0.5000 0.0000 0.2613
Zn 0.0000 0.0000 0.5000
Zn 0.0000 0.5000 0.1310
Zn 0.5000 0.0000 0.8690
Zn 0.5000 0.5000 0.5000
Pt 0.0000 0.5000 0.3563
Pt 0.5000 0.0000 0.6437
Pt 0.5000 0.5000 0.0000

Most intense lines, 2θ = 10–80°, in order of rising 2θ:
- 2θ = 22.91°, intensity 45
- 2θ = 26.52°, intensity 27
- 2θ = 30.72°, intensity 29
- 2θ = 31.68°, intensity 86
- 2θ = 34.45°, intensity 100
- 2θ = 43.99°, intensity 97
- 2θ = 44.70°, intensity 58
- 2θ = 55.22°, intensity 31
- 2θ = 63.96°, intensity 28
- 2θ = 64.52°, intensity 40

***

Theoretical powder XRD pattern
Compound: LiLa2PuTe5
Radiation: copper Kα
Structure: a DFT-relaxed cell (PBE, Alexandria)
Peak positions follow from Bragg's law for the DFT cell and can differ from measured ones.

Atomic structure:
Unit cell a=9.7092 b=9.7092 c=13.3032 alpha=90.00 beta=90.00 gamma=153.16
Fractional positions:
Li 0.0567 0.9433 0.5000
Li 0.9433 0.0567 0.0000
La 0.3751 0.6249 0.3427
La 0.3922 0.6078 0.7228
La 0.6078 0.3922 0.2228
La 0.6249 0.3751 0.8427
Pu 0.2997 0.7003 0.0462
Pu 0.7003 0.2997 0.5462
Te 0.0016 0.9984 0.8162
Te 0.1349 0.8651 0.0376
Te 0.1886 0.8114 0.3845
Te 0.2126 0.7874 0.7057
Te 0.4527 0.5473 0.1075
Te 0.5473 0.4527 0.6075
Te 0.7874 0.2126 0.2057
Te 0.8114 0.1886 0.8845
Te 0.8651 0.1349 0.5376
Te 0.9984 0.0016 0.3162

Most intense lines, 2θ = 10–80°, in order of rising 2θ:
- 2θ = 16.30°, intensity 12
- 2θ = 24.31°, intensity 12
- 2θ = 28.63°, intensity 100
- 2θ = 29.15°, intensity 40
- 2θ = 33.77°, intensity 59
- 2θ = 36.48°, intensity 12
- 2θ = 40.01°, intensity 25
- 2θ = 41.31°, intensity 18
- 2θ = 50.26°, intensity 18
- 2θ = 61.45°, intensity 15

***

Theoretical powder XRD pattern
Compound: Rb3LiLa
Radiation: copper Kα
Structure: a DFT-relaxed cell (PBE, Alexandria)
Peak positions follow from Bragg's law for the DFT cell and can differ from measured ones.

Atomic structure:
Unit cell a=7.3881 b=7.3881 c=7.3881 alpha=90.00 beta=90.00 gamma=90.00
Fractional positions:
Rb 0.0000 0.0000 0.5000
Rb 0.0000 0.5000 0.0000
Rb 0.5000 0.0000 0.0000
Li 0.5000 0.5000 0.5000
La 0.0000 0.0000 0.0000

Most intense lines, 2θ = 10–80°, in order of rising 2θ:
- 2θ = 11.98°, intensity 100
- 2θ = 24.09°, intensity 69
- 2θ = 26.99°, intensity 61
- 2θ = 34.33°, intensity 55
- 2θ = 36.48°, intensity 34
- 2θ = 42.38°, intensity 20
- 2θ = 44.20°, intensity 16
- 2θ = 50.96°, intensity 21
- 2θ = 55.63°, intensity 27
- 2θ = 61.49°, intensity 20

***

Theoretical powder XRD pattern
Compound: Li3LaRe
Radiation: copper Kα
Structure: a DFT-relaxed cell (PBE, Alexandria)
Peak positions follow from Bragg's law for the DFT cell and can differ from measured ones.

Atomic structure:
Unit cell a=4.8128 b=4.8128 c=4.8128 alpha=90.00 beta=90.00 gamma=90.00
Fractional positions:
Li 0.0000 0.0000 0.5000
Li 0.0000 0.5000 0.0000
Li 0.5000 0.0000 0.0000
La 0.5000 0.5000 0.5000
Re 0.0000 0.0000 0.0000

Most intense lines, 2θ = 10–80°, in order of rising 2θ:
- 2θ = 18.43°, intensity 3
- 2θ = 26.19°, intensity 100
- 2θ = 37.37°, intensity 22
- 2θ = 41.98°, intensity 2
- 2θ = 46.20°, intensity 44
- 2θ = 53.88°, intensity 16
- 2θ = 60.87°, intensity 19
- 2θ = 67.41°, intensity 5
- 2θ = 73.65°, intensity 22
- 2θ = 79.69°, intensity 3